Diffraction record for BaZnCdSe3. The X-ray powder pattern is theoretical, not measured: it uses a crystal structure in OQMD, relaxed with PBE and λ = 1.5418 Å (Cu Kα).

Principal peaks in the range 15° ≤ 2θ ≤ 90°, in order of rising 2θ:
two_theta  I/Imax
20.7  21.1
27.8  22.8
28.5  27.4
29.7  100.0
33.0  91.2
33.3  32.4
41.8  24.5
42.0  48.1
43.1  33.4
51.3  30.0

Structural model:
```
data_BaZnCdSe3
_chemical_formula_sum 'Ba4 Zn4 Cd4 Se12'
_symmetry_space_group_name_H-M 'C m c m'
_symmetry_Int_Tables_number 63
_symmetry_space_group_name_Hall '-C 2c 2'
_cell_length_a 4.2007
_cell_length_b 14.1423
_cell_length_c 10.8247
_cell_angle_alpha 90.00
_cell_angle_beta 90.00
_cell_angle_gamma 90.00
loop_
_atom_site_label
_atom_site_type_symbol
_atom_site_fract_x
_atom_site_fract_y
_atom_site_fract_z
Ba1 Ba 0.0000 0.2491 0.2500
Zn1 Zn 0.0000 0.4671 0.7500
Cd1 Cd 0.0000 0.0000 0.0000
Se1 Se 0.0000 0.0700 0.7500
Se2 Se 0.0000 0.3679 0.5621
```